(1)
For SrPr2Se4, a cell relaxed with GGA-PBE gives the calculated PXRD pattern in this record (Cu Kα (λ = 1.5418 Å)).
Intensities are scaled so that the largest is 100.

Largest 6 diffraction maxima, by angle, 10 to 90 degrees two-theta:
23.94 deg, d 3.718, intensity 19; 31.05 deg, d 2.880, intensity 100; 36.93 deg, d 2.434, intensity 68; 44.49 deg, d 2.036, intensity 21; 62.91 deg, d 1.477, intensity 30; 76.94 deg, d 1.239, intensity 19

Crystal structure
abc: 7.887 7.887 7.887
angles: 109.45 109.45 109.52
Atoms (fractional coordinates):
Sr1 0.000 0.000 0.000
Sr2 0.750 0.250 0.500
Pr1 0.248 0.125 0.623
Pr2 0.375 0.752 0.877
Pr3 0.502 0.625 0.377
Pr4 0.875 0.498 0.123
Se1 0.132 0.383 0.403
Se2 0.133 0.382 0.903
Se3 0.271 0.868 0.251
Se4 0.479 0.230 0.097
Se5 0.617 0.020 0.749
Se6 0.618 0.521 0.751
Se7 0.770 0.867 0.249
Se8 0.980 0.729 0.597

(2)
For TmCu, a cell relaxed with GGA-PBE gives the calculated PXRD pattern in this record (Cu Kα (λ = 1.5418 Å)).
Intensities are scaled so that the largest is 100.

Largest 6 diffraction maxima, by angle, 10 to 90 degrees two-theta:
26.09 deg, d 3.415, intensity 21; 37.23 deg, d 2.415, intensity 100; 53.68 deg, d 1.708, intensity 17; 60.63 deg, d 1.527, intensity 9; 67.14 deg, d 1.394, intensity 35; 79.36 deg, d 1.207, intensity 11

Crystal structure
abc: 3.415 3.415 3.415
angles: 90.00 90.00 90.00
Atoms (fractional coordinates):
Tm1 0.000 0.000 0.000
Cu1 0.500 0.500 0.500

(3)
For HoAl3Ni2, a cell relaxed with GGA-PBE gives the calculated PXRD pattern in this record (Cu Kα (λ = 1.5418 Å)).
Intensities are scaled so that the largest is 100.

Largest 6 diffraction maxima, by angle, 10 to 90 degrees two-theta:
19.83 deg, d 4.477, intensity 40; 25.03 deg, d 3.557, intensity 64; 38.05 deg, d 2.365, intensity 100; 40.29 deg, d 2.238, intensity 74; 41.59 deg, d 2.171, intensity 40; 62.22 deg, d 1.492, intensity 47

Crystal structure
abc: 8.953 8.953 4.003
angles: 90.00 90.00 120.00
Atoms (fractional coordinates):
Ho1 0.000 0.000 0.000
Ho2 0.333 0.667 0.500
Ho3 0.667 0.333 0.500
Al1 0.000 0.298 0.500
Al2 0.000 0.500 0.000
Al3 0.000 0.702 0.500
Al4 0.298 0.000 0.500
Al5 0.298 0.298 0.500
Al6 0.500 0.000 0.000
Al7 0.500 0.500 0.000
Al8 0.702 0.000 0.500
Al9 0.702 0.702 0.500
Ni1 0.181 0.362 0.000
Ni2 0.181 0.819 0.000
Ni3 0.362 0.181 0.000
Ni4 0.638 0.819 0.000
Ni5 0.819 0.181 0.000
Ni6 0.819 0.638 0.000

(4)
For Ca2MgP2O10, a cell relaxed with GGA-PBE gives the calculated PXRD pattern in this record (Cu Kα (λ = 1.5418 Å)).
Intensities are scaled so that the largest is 100.

Largest 6 diffraction maxima, by angle, 10 to 90 degrees two-theta:
26.93 deg, d 3.311, intensity 89; 27.44 deg, d 3.250, intensity 100; 30.47 deg, d 2.934, intensity 85; 30.79 deg, d 2.904, intensity 69; 33.91 deg, d 2.643, intensity 85; 34.16 deg, d 2.625, intensity 67

Crystal structure
abc: 5.288 6.133 6.911
angles: 107.42 91.24 114.51
Atoms (fractional coordinates):
Ca1 0.106 0.294 0.232
Ca2 0.894 0.706 0.768
Mg1 0.500 0.000 0.500
P1 0.181 0.328 0.737
P2 0.819 0.672 0.263
O1 0.061 0.752 0.440
O2 0.099 0.156 0.871
O3 0.250 0.605 0.879
O4 0.447 0.324 0.646
O5 0.457 0.153 0.274
O6 0.543 0.847 0.726
O7 0.553 0.676 0.354
O8 0.750 0.395 0.121
O9 0.901 0.844 0.129
O10 0.939 0.248 0.560

(5)
For Mg2CrN3, a cell relaxed with GGA-PBE gives the calculated PXRD pattern in this record (Cu Kα (λ = 1.5418 Å)).
Intensities are scaled so that the largest is 100.

Largest 6 diffraction maxima, by angle, 10 to 90 degrees two-theta:
17.76 deg, d 4.994, intensity 48; 25.09 deg, d 3.549, intensity 41; 31.01 deg, d 2.884, intensity 62; 35.75 deg, d 2.512, intensity 100; 35.90 deg, d 2.501, intensity 75; 54.93 deg, d 1.671, intensity 39

Crystal structure
abc: 5.769 5.769 5.023
angles: 90.00 90.00 60.37
Atoms (fractional coordinates):
Mg1 0.009 0.666 0.500
Mg2 0.334 0.991 0.500
Mg3 0.666 0.009 0.000
Mg4 0.991 0.334 0.000
Cr1 0.330 0.670 0.995
Cr2 0.670 0.330 0.495
N1 0.035 0.667 0.074
N2 0.333 0.965 0.074
N3 0.372 0.628 0.630
N4 0.628 0.372 0.130
N5 0.667 0.035 0.574
N6 0.965 0.333 0.574

(6)
For TeMo2S3, a cell relaxed with GGA-PBE gives the calculated PXRD pattern in this record (Cu Kα (λ = 1.5418 Å)).
Intensities are scaled so that the largest is 100.

Largest 6 diffraction maxima, by angle, 10 to 90 degrees two-theta:
11.89 deg, d 7.443, intensity 100; 31.58 deg, d 2.833, intensity 58; 37.13 deg, d 2.421, intensity 89; 38.49 deg, d 2.339, intensity 22; 45.00 deg, d 2.015, intensity 41; 56.19 deg, d 1.637, intensity 32

Crystal structure
abc: 3.275 3.275 37.215
angles: 90.00 90.00 120.00
Atoms (fractional coordinates):
Te1 0.000 0.000 0.000
Te2 0.000 0.000 0.104
Mo1 0.000 0.000 0.240
Mo2 0.000 0.000 0.864
Mo3 0.667 0.333 0.052
Mo4 0.667 0.333 0.676
S1 0.000 0.000 0.635
S2 0.000 0.000 0.717
S3 0.667 0.333 0.198
S4 0.667 0.333 0.281
S5 0.667 0.333 0.823
S6 0.667 0.333 0.905

(7)
For MgH8Cl2O4, a cell relaxed with GGA-PBE gives the calculated PXRD pattern in this record (Cu Kα (λ = 1.5418 Å)).
Intensities are scaled so that the largest is 100.

Largest 6 diffraction maxima, by angle, 10 to 90 degrees two-theta:
22.47 deg, d 3.956, intensity 55; 29.25 deg, d 3.053, intensity 100; 32.33 deg, d 2.769, intensity 96; 33.27 deg, d 2.693, intensity 64; 40.80 deg, d 2.212, intensity 51; 41.07 deg, d 2.198, intensity 70

Crystal structure
abc: 7.350 8.484 10.968
angles: 90.00 90.00 90.00
Atoms (fractional coordinates):
Mg1 0.000 0.124 0.250
Mg2 0.000 0.876 0.750
Mg3 0.500 0.376 0.750
Mg4 0.500 0.624 0.250
H1 0.073 0.438 0.197
H2 0.073 0.562 0.697
H3 0.074 0.191 0.699
H4 0.074 0.809 0.199
H5 0.205 0.216 0.443
H6 0.205 0.784 0.943
H7 0.213 0.032 0.441
H8 0.213 0.968 0.941
H9 0.287 0.468 0.941
H10 0.287 0.532 0.441
H11 0.295 0.284 0.943
H12 0.295 0.716 0.443
H13 0.426 0.309 0.199
H14 0.426 0.691 0.699
H15 0.427 0.062 0.697
H16 0.427 0.938 0.197
H17 0.573 0.062 0.803
H18 0.573 0.938 0.303
H19 0.574 0.309 0.301
H20 0.574 0.691 0.801
H21 0.705 0.284 0.557
H22 0.705 0.716 0.057
H23 0.713 0.468 0.559
H24 0.713 0.532 0.059
H25 0.787 0.032 0.059
H26 0.787 0.968 0.559
H27 0.795 0.216 0.057
H28 0.795 0.784 0.557
H29 0.926 0.191 0.801
H30 0.926 0.809 0.301
H31 0.927 0.438 0.303
H32 0.927 0.562 0.803
Cl1 0.230 0.377 0.596
Cl2 0.230 0.623 0.096
Cl3 0.270 0.123 0.096
Cl4 0.270 0.877 0.596
Cl5 0.730 0.123 0.404
Cl6 0.730 0.877 0.904
Cl7 0.770 0.377 0.904
Cl8 0.770 0.623 0.404
O1 0.000 0.121 0.750
O2 0.000 0.368 0.250
O3 0.000 0.632 0.750
O4 0.000 0.879 0.250
O5 0.191 0.125 0.388
O6 0.191 0.875 0.888
O7 0.309 0.375 0.888
O8 0.309 0.625 0.388
O9 0.500 0.132 0.750
O10 0.500 0.379 0.250
O11 0.500 0.621 0.750
O12 0.500 0.868 0.250
O13 0.691 0.375 0.612
O14 0.691 0.625 0.112
O15 0.809 0.125 0.112
O16 0.809 0.875 0.612

(8)
For NaH3C2O5, a cell relaxed with GGA-PBE gives the calculated PXRD pattern in this record (Cu Kα (λ = 1.5418 Å)).
Intensities are scaled so that the largest is 100.

Largest 6 diffraction maxima, by angle, 10 to 90 degrees two-theta:
18.18 deg, d 4.880, intensity 18; 29.86 deg, d 2.992, intensity 29; 30.05 deg, d 2.974, intensity 100; 33.28 deg, d 2.692, intensity 26; 36.08 deg, d 2.490, intensity 18; 42.24 deg, d 2.139, intensity 16

Crystal structure
abc: 5.730 6.528 6.713
angles: 75.03 85.09 69.98
Atoms (fractional coordinates):
Na1 0.240 0.249 0.028
Na2 0.760 0.751 0.972
H1 0.010 0.246 0.604
H2 0.238 0.690 0.775
H3 0.260 0.709 0.003
H4 0.740 0.291 0.997
H5 0.762 0.310 0.225
H6 0.990 0.754 0.396
C1 0.354 0.242 0.539
C2 0.402 0.777 0.360
C3 0.598 0.223 0.640
C4 0.646 0.758 0.461
O1 0.172 0.237 0.673
O2 0.185 0.644 0.919
O3 0.236 0.735 0.486
O4 0.342 0.255 0.354
O5 0.387 0.834 0.166
O6 0.613 0.166 0.834
O7 0.658 0.745 0.646
O8 0.764 0.265 0.514
O9 0.815 0.356 0.081
O10 0.828 0.763 0.327